Structure and theoretical X-ray diffraction stick pattern of Ti3PbO7 (a GGA-PBE-relaxed structure; Cu Ka).
Kinematic intensities with the Lorentz-polarization factor, no thermal factor.

Cell and atoms:
Unit cell a=6.698 b=3.830 c=10.882 alpha=90.00 beta=98.11 gamma=90.00
Space group P2_1/m (No. 11)
Unique sites:
Ti (0.052, 0.250, 0.398) x2
Ti (0.195, 0.250, 0.067) x2
Ti (0.246, 0.750, 0.846) x2
Pb (0.499, 0.250, 0.650) x2
O (0.024, 0.750, 0.427) x2
O (0.064, 0.250, 0.213) x2
O (0.145, 0.750, 0.022) x2
O (0.247, 0.250, 0.885) x2
O (0.249, 0.750, 0.678) x2
O (0.330, 0.250, 0.441) x2
O (0.454, 0.250, 0.132) x2

Largest 10 diffraction maxima, low angle first, 2θ = 10–80°:
- hkl 1 0 0, 13.35°, intensity 60
- hkl 1 0 1, 16.66°, intensity 38
- hkl 1 1 -1, 27.58°, intensity 64
- hkl 0 1 2, 28.60°, intensity 78
- hkl 1 1 1, 28.72°, intensity 59
- hkl 2 0 1, 29.28°, intensity 47
- hkl 1 1 -2, 30.64°, intensity 100
- hkl 0 0 4, 33.27°, intensity 37
- hkl 2 0 -3, 34.12°, intensity 50
- hkl 0 2 0, 47.48°, intensity 43